Calculated XRD peak list
Compound: Mn2C3O9
Radiation: Cu Kα (λ = 1.5418 Å)
Structure: DFT lattice parameters and positions (PBE+U)

Crystal structure
a = 7.522 Å, b = 7.587 Å, c = 7.662 Å
α = 119.14°, β = 93.41°, γ = 91.72°
Sites, in units of the cell vectors:
Mn: 0.044 0.168 0.336
Mn: 0.456 0.162 0.327
Mn: 0.544 0.838 0.673
Mn: 0.956 0.832 0.664
C: 0.243 0.563 0.655
C: 0.254 0.096 0.939
C: 0.254 0.849 0.409
C: 0.746 0.151 0.591
C: 0.746 0.904 0.061
C: 0.757 0.437 0.345
O: 0.095 0.078 0.852
O: 0.100 0.647 0.726
O: 0.105 0.779 0.427
O: 0.238 0.376 0.509
O: 0.254 0.995 0.362
O: 0.257 0.140 0.129
O: 0.395 0.081 0.854
O: 0.400 0.651 0.726
O: 0.406 0.782 0.426
O: 0.594 0.218 0.574
O: 0.600 0.349 0.274
O: 0.605 0.919 0.146
O: 0.743 0.860 0.871
O: 0.746 0.005 0.638
O: 0.762 0.624 0.491
O: 0.895 0.221 0.573
O: 0.900 0.353 0.274
O: 0.905 0.922 0.148

Top 6 peaks for 10° ≤ 2θ ≤ 80°, sorted by position:
two_theta, Rel. int.
13.3, 49
13.4, 100
23.1, 10
23.3, 9
23.5, 8
26.7, 8



Calculated XRD peak list
Compound: MnC2O6
Radiation: Cu Kα (λ = 1.5418 Å)
Structure: DFT lattice parameters and positions (PBE+U)

Crystal structure
a = 7.527 Å, b = 7.422 Å, c = 8.931 Å
α = 90.00°, β = 99.87°, γ = 90.00°
Sites, in units of the cell vectors:
Mn: 0.000 0.000 0.000
Mn: 0.000 0.500 0.500
Mn: 0.500 0.000 0.500
Mn: 0.500 0.500 0.000
C: 0.171 0.156 0.321
C: 0.171 0.344 0.821
C: 0.323 0.737 0.494
C: 0.323 0.763 0.994
C: 0.677 0.237 0.006
C: 0.677 0.263 0.506
C: 0.829 0.656 0.179
C: 0.829 0.844 0.679
O: 0.050 0.116 0.205
O: 0.050 0.384 0.705
O: 0.128 0.248 0.927
O: 0.128 0.252 0.427
O: 0.245 0.586 0.501
O: 0.245 0.914 0.001
O: 0.292 0.618 0.068
O: 0.292 0.882 0.568
O: 0.336 0.099 0.327
O: 0.336 0.401 0.827
O: 0.452 0.745 0.915
O: 0.452 0.755 0.415
O: 0.548 0.245 0.585
O: 0.548 0.255 0.085
O: 0.664 0.599 0.173
O: 0.664 0.901 0.673
O: 0.708 0.118 0.432
O: 0.708 0.382 0.932
O: 0.755 0.086 0.999
O: 0.755 0.414 0.499
O: 0.872 0.748 0.573
O: 0.872 0.752 0.073
O: 0.950 0.616 0.295
O: 0.950 0.884 0.795

Top 6 peaks for 10° ≤ 2θ ≤ 80°, sorted by position:
two_theta, Rel. int.
18.6, 100
20.2, 45
20.7, 30
26.1, 15
26.9, 14
28.0, 16



Calculated XRD peak list
Compound: MnCO3
Radiation: Cu Kα (λ = 1.5418 Å)
Structure: DFT lattice parameters and positions (PBE+U)

Crystal structure
a = 4.836 Å, b = 4.836 Å, c = 5.990 Å
α = 113.89°, β = 113.89°, γ = 60.00°
Sites, in units of the cell vectors:
Mn: 0.250 0.750 0.500
Mn: 0.750 0.250 0.000
C: 0.001 0.499 0.750
C: 0.499 0.001 0.250
O: 0.001 0.230 0.750
O: 0.230 0.001 0.250
O: 0.269 0.498 0.749
O: 0.498 0.269 0.249
O: 0.732 0.767 0.751
O: 0.767 0.732 0.251

Top 6 peaks for 10° ≤ 2θ ≤ 80°, sorted by position:
two_theta, Rel. int.
24.0, 29
31.0, 100
37.2, 20
44.8, 20
50.9, 21
51.2, 29



Calculated XRD peak list
Compound: MnC2O6
Radiation: Cu Kα (λ = 1.5418 Å)
Structure: DFT lattice parameters and positions (PBE+U)

Crystal structure
a = 6.349 Å, b = 6.349 Å, c = 11.676 Å
α = 112.48°, β = 112.48°, γ = 65.32°
Sites, in units of the cell vectors:
Mn: 0.171 0.829 0.750
Mn: 0.829 0.171 0.250
C: 0.242 0.587 0.078
C: 0.413 0.758 0.422
C: 0.587 0.242 0.578
C: 0.758 0.413 0.922
O: 0.021 0.664 0.754
O: 0.068 0.757 0.078
O: 0.243 0.932 0.422
O: 0.336 0.979 0.746
O: 0.415 0.418 0.078
O: 0.418 0.415 0.578
O: 0.582 0.585 0.422
O: 0.585 0.582 0.922
O: 0.664 0.021 0.254
O: 0.757 0.068 0.578
O: 0.932 0.243 0.922
O: 0.979 0.336 0.246

Top 6 peaks for 10° ≤ 2θ ≤ 80°, sorted by position:
two_theta, Rel. int.
18.7, 100
20.0, 71
26.4, 86
27.4, 24
33.9, 39
40.6, 22



Calculated XRD peak list
Compound: MnC2O6
Radiation: Cu Kα (λ = 1.5418 Å)
Structure: DFT lattice parameters and positions (PBE+U)

Crystal structure
a = 5.279 Å, b = 6.138 Å, c = 13.684 Å
α = 90.00°, β = 90.00°, γ = 90.00°
Sites, in units of the cell vectors:
Mn: 0.059 0.181 0.331
Mn: 0.441 0.819 0.831
Mn: 0.559 0.319 0.669
Mn: 0.941 0.681 0.169
C: 0.093 0.703 0.382
C: 0.127 0.848 0.475
C: 0.373 0.152 0.975
C: 0.407 0.297 0.882
C: 0.593 0.797 0.618
C: 0.627 0.652 0.525
C: 0.873 0.348 0.025
C: 0.907 0.203 0.118
O: 0.024 0.851 0.795
O: 0.044 0.813 0.302
O: 0.116 0.503 0.387
O: 0.137 0.330 0.636
O: 0.137 0.761 0.557
O: 0.139 0.054 0.460
O: 0.361 0.946 0.960
O: 0.363 0.239 0.057
O: 0.363 0.670 0.136
O: 0.384 0.497 0.887
O: 0.456 0.187 0.802
O: 0.476 0.149 0.295
O: 0.524 0.649 0.205
O: 0.544 0.687 0.698
O: 0.616 0.997 0.613
O: 0.637 0.170 0.364
O: 0.637 0.739 0.443
O: 0.639 0.446 0.540
O: 0.861 0.554 0.040
O: 0.863 0.261 0.943
O: 0.863 0.830 0.864
O: 0.884 0.003 0.113
O: 0.956 0.313 0.198
O: 0.976 0.351 0.705

Top 6 peaks for 10° ≤ 2θ ≤ 80°, sorted by position:
two_theta, Rel. int.
18.0, 100
19.4, 22
24.3, 78
29.8, 44
34.6, 58
39.5, 26



Calculated XRD peak list
Compound: MnC4O6
Radiation: Cu Kα (λ = 1.5418 Å)
Structure: DFT lattice parameters and positions (PBE+U)

Crystal structure
a = 8.264 Å, b = 8.264 Å, c = 8.264 Å
α = 88.67°, β = 88.67°, γ = 88.67°
Sites, in units of the cell vectors:
Mn: 0.000 0.500 0.500
Mn: 0.500 0.000 0.500
Mn: 0.500 0.500 0.000
C: 0.041 0.493 0.120
C: 0.044 0.879 0.505
C: 0.120 0.041 0.493
C: 0.121 0.495 0.956
C: 0.493 0.120 0.041
C: 0.495 0.956 0.121
C: 0.505 0.044 0.879
C: 0.507 0.880 0.959
C: 0.879 0.505 0.044
C: 0.880 0.959 0.507
C: 0.956 0.121 0.495
C: 0.959 0.507 0.880
O: 0.096 0.483 0.258
O: 0.100 0.739 0.511
O: 0.173 0.419 0.572
O: 0.258 0.096 0.483
O: 0.261 0.489 0.900
O: 0.419 0.572 0.173
O: 0.428 0.827 0.581
O: 0.483 0.258 0.096
O: 0.489 0.900 0.261
O: 0.511 0.100 0.739
O: 0.517 0.742 0.904
O: 0.572 0.173 0.419
O: 0.581 0.428 0.827
O: 0.739 0.511 0.100
O: 0.742 0.904 0.517
O: 0.827 0.581 0.428
O: 0.900 0.261 0.489
O: 0.904 0.517 0.742

Top 6 peaks for 10° ≤ 2θ ≤ 80°, sorted by position:
two_theta, Rel. int.
10.7, 38
15.0, 71
15.3, 65
18.7, 19
21.5, 100
36.1, 24



Calculated XRD peak list
Compound: MnC2O6
Radiation: Cu Kα (λ = 1.5418 Å)
Structure: DFT lattice parameters and positions (PBE+U)

Crystal structure
a = 5.689 Å, b = 5.841 Å, c = 16.443 Å
α = 90.00°, β = 90.00°, γ = 90.00°
Sites, in units of the cell vectors:
Mn: 0.082 0.163 0.394
Mn: 0.418 0.837 0.894
Mn: 0.582 0.337 0.606
Mn: 0.918 0.663 0.106
C: 0.054 0.360 0.650
C: 0.091 0.887 0.771
C: 0.409 0.113 0.271
C: 0.446 0.640 0.150
C: 0.554 0.140 0.350
C: 0.591 0.613 0.229
C: 0.909 0.387 0.729
C: 0.946 0.860 0.850
O: 0.009 0.894 0.703
O: 0.046 0.972 0.463
O: 0.054 0.427 0.418
O: 0.066 0.833 0.914
O: 0.181 0.100 0.288
O: 0.226 0.629 0.158
O: 0.274 0.371 0.658
O: 0.319 0.900 0.788
O: 0.434 0.167 0.414
O: 0.446 0.573 0.918
O: 0.454 0.028 0.963
O: 0.491 0.106 0.203
O: 0.509 0.606 0.297
O: 0.546 0.528 0.537
O: 0.554 0.073 0.582
O: 0.566 0.667 0.086
O: 0.681 0.400 0.712
O: 0.726 0.871 0.842
O: 0.774 0.129 0.342
O: 0.819 0.600 0.212
O: 0.934 0.333 0.586
O: 0.946 0.927 0.082
O: 0.954 0.472 0.037
O: 0.991 0.394 0.797

Top 6 peaks for 10° ≤ 2θ ≤ 80°, sorted by position:
two_theta, Rel. int.
16.1, 100
18.6, 39
22.2, 20
22.5, 57
24.4, 17
31.1, 38



Calculated XRD peak list
Compound: Mn2C3O9
Radiation: Cu Kα (λ = 1.5418 Å)
Structure: DFT lattice parameters and positions (PBE+U)

Crystal structure
a = 7.420 Å, b = 7.440 Å, c = 7.470 Å
α = 119.67°, β = 91.22°, γ = 90.80°
Sites, in units of the cell vectors:
Mn: 0.044 0.168 0.335
Mn: 0.455 0.166 0.330
Mn: 0.545 0.834 0.670
Mn: 0.956 0.832 0.665
C: 0.247 0.568 0.663
C: 0.252 0.094 0.931
C: 0.252 0.838 0.407
C: 0.748 0.162 0.593
C: 0.748 0.906 0.069
C: 0.753 0.432 0.337
O: 0.097 0.079 0.841
O: 0.099 0.656 0.739
O: 0.100 0.761 0.419
O: 0.245 0.378 0.506
O: 0.253 0.131 0.123
O: 0.254 0.993 0.369
O: 0.400 0.082 0.843
O: 0.402 0.658 0.740
O: 0.404 0.763 0.423
O: 0.596 0.237 0.577
O: 0.598 0.342 0.260
O: 0.600 0.918 0.157
O: 0.746 0.007 0.631
O: 0.747 0.869 0.877
O: 0.755 0.622 0.494
O: 0.900 0.239 0.581
O: 0.901 0.344 0.261
O: 0.903 0.921 0.159

Top 6 peaks for 10° ≤ 2θ ≤ 80°, sorted by position:
two_theta, Rel. int.
13.7, 100
23.8, 13
23.9, 8
27.0, 9
27.7, 6
34.4, 8



Calculated XRD peak list
Compound: Mn2C3O9
Radiation: Cu Kα (λ = 1.5418 Å)
Structure: DFT lattice parameters and positions (PBE+U)

Crystal structure
a = 7.652 Å, b = 7.673 Å, c = 7.688 Å
α = 106.69°, β = 107.34°, γ = 106.53°
Sites, in units of the cell vectors:
Mn: 0.000 0.000 0.000
Mn: 0.019 0.505 0.361
Mn: 0.364 0.025 0.498
Mn: 0.484 0.358 0.012
C: 0.129 0.927 0.728
C: 0.287 0.383 0.628
C: 0.382 0.636 0.290
C: 0.626 0.294 0.375
C: 0.738 0.139 0.932
C: 0.919 0.741 0.124
O: 0.025 0.800 0.772
O: 0.107 0.859 0.177
O: 0.166 0.863 0.570
O: 0.192 0.115 0.840
O: 0.195 0.495 0.598
O: 0.209 0.496 0.239
O: 0.235 0.213 0.486
O: 0.433 0.451 0.799
O: 0.452 0.808 0.432
O: 0.480 0.239 0.203
O: 0.490 0.600 0.195
O: 0.580 0.169 0.858
O: 0.597 0.203 0.487
O: 0.788 0.788 0.024
O: 0.796 0.038 0.811
O: 0.796 0.439 0.441
O: 0.846 0.199 0.120
O: 0.865 0.587 0.163

Top 6 peaks for 10° ≤ 2θ ≤ 80°, sorted by position:
two_theta, Rel. int.
13.2, 37
14.4, 100
19.5, 83
19.7, 43
30.3, 22
31.9, 24



Repeat the fifth record exactly.
Calculated XRD peak list
Compound: MnC2O6
Radiation: Cu Kα (λ = 1.5418 Å)
Structure: DFT lattice parameters and positions (PBE+U)

Crystal structure
a = 5.279 Å, b = 6.138 Å, c = 13.684 Å
α = 90.00°, β = 90.00°, γ = 90.00°
Sites, in units of the cell vectors:
Mn: 0.059 0.181 0.331
Mn: 0.441 0.819 0.831
Mn: 0.559 0.319 0.669
Mn: 0.941 0.681 0.169
C: 0.093 0.703 0.382
C: 0.127 0.848 0.475
C: 0.373 0.152 0.975
C: 0.407 0.297 0.882
C: 0.593 0.797 0.618
C: 0.627 0.652 0.525
C: 0.873 0.348 0.025
C: 0.907 0.203 0.118
O: 0.024 0.851 0.795
O: 0.044 0.813 0.302
O: 0.116 0.503 0.387
O: 0.137 0.330 0.636
O: 0.137 0.761 0.557
O: 0.139 0.054 0.460
O: 0.361 0.946 0.960
O: 0.363 0.239 0.057
O: 0.363 0.670 0.136
O: 0.384 0.497 0.887
O: 0.456 0.187 0.802
O: 0.476 0.149 0.295
O: 0.524 0.649 0.205
O: 0.544 0.687 0.698
O: 0.616 0.997 0.613
O: 0.637 0.170 0.364
O: 0.637 0.739 0.443
O: 0.639 0.446 0.540
O: 0.861 0.554 0.040
O: 0.863 0.261 0.943
O: 0.863 0.830 0.864
O: 0.884 0.003 0.113
O: 0.956 0.313 0.198
O: 0.976 0.351 0.705

Top 6 peaks for 10° ≤ 2θ ≤ 80°, sorted by position:
two_theta, Rel. int.
18.0, 100
19.4, 22
24.3, 78
29.8, 44
34.6, 58
39.5, 26